Entry 1:
# Sb4Se3SI4
Theoretical powder diffraction line list, CuKα. Input: a cell relaxed with PBE.
Lines closer than 0.1° are merged.

Cell and atoms:
```
data_Sb4Se3SI4
_chemical_formula_sum 'Sb4 Se3 S1 I4'
_space_group_name_H-M_alt 'P 1 m 1'
_space_group_IT_number 6
_cell_length_a 9.118
_cell_length_b 4.177
_cell_length_c 10.782
_cell_angle_alpha 90.00
_cell_angle_beta 90.09
_cell_angle_gamma 90.00
loop_
_space_group_symop_operation_xyz
'x,y,z'
'x,-y,z'
loop_
_atom_site_label
_atom_site_fract_x
_atom_site_fract_y
_atom_site_fract_z
Sb1 0.000 0.000 0.000
Sb2 0.215 0.500 0.752
Sb3 0.495 0.000 0.245
Sb4 0.713 0.500 0.502
Se1 0.443 0.500 0.417
Se2 0.767 0.000 0.330
Se3 0.941 0.500 0.830
S1 0.253 0.000 0.912
I1 0.099 0.000 0.559
I2 0.125 0.500 0.194
I3 0.590 0.000 0.696
I4 0.617 0.500 0.052
```

Peak list (10 most intense, 2θ = 10–90°, in order of rising 2θ)
2θ (°), Rel. int., (hkl)
12.7, 19.5, 1 0 1
19.5, 21.3, 2 0 0
25.6, 17.4, 2 0 -2
28.8, 100.0, 1 1 -2
30.2, 21.4, 2 1 1
30.6, 23.4, 3 0 1
32.9, 22.0, 0 1 3
43.3, 18.3, 0 2 0
44.7, 17.7, 2 1 4
46.1, 23.8, 4 1 -1

=====

Entry 2:
# Sn2SbS2I3
Theoretical powder diffraction line list, CuKα. Input: a cell relaxed with PBE.
Lines closer than 0.1° are merged.

Cell and atoms:
```
data_Sn2SbS2I3
_chemical_formula_sum 'Sn8 Sb4 S8 I12'
_space_group_name_H-M_alt 'C m c m'
_space_group_IT_number 63
_space_group_name_Hall '-C 2c 2'
_cell_length_a 4.349
_cell_length_b 14.465
_cell_length_c 16.048
_cell_angle_alpha 90.00
_cell_angle_beta 90.00
_cell_angle_gamma 90.00
loop_
_atom_site_label
_atom_site_fract_x
_atom_site_fract_y
_atom_site_fract_z
Sn1 0.000 0.133 0.021
Sb1 0.000 0.204 0.750
S1 0.000 0.271 0.585
I1 0.000 0.150 0.250
I2 0.000 0.433 0.132
```

Peak list (10 most intense, 2θ = 10–90°, in order of rising 2θ)
2θ (°), Rel. int., (hkl)
25.4, 30.3, 0 2 4
27.6, 60.6, 1 3 0
28.2, 66.5, 1 3 1
30.5, 30.6, 0 2 5
30.9, 100.0, 1 1 4
35.7, 31.0, 1 3 4
39.0, 17.1, 1 5 2
41.5, 31.5, 2 0 0
47.2, 32.6, 1 5 5
48.8, 19.6, 1 7 0

=====

Entry 3:
# Sn2SbS2I3
Theoretical powder diffraction line list, CuKα. Input: a cell relaxed with PBE.
Lines closer than 0.1° are merged.

Cell and atoms:
```
data_Sn2SbS2I3
_chemical_formula_sum 'Sn8 Sb4 S8 I12'
_space_group_name_H-M_alt 'C m c 21'
_space_group_IT_number 36
_cell_length_a 4.327
_cell_length_b 14.938
_cell_length_c 17.461
_cell_angle_alpha 90.00
_cell_angle_beta 90.00
_cell_angle_gamma 90.00
loop_
_space_group_symop_operation_xyz
'x,y,z'
'-x,-y,z+1/2'
'-x,y,z'
'x,-y,z+1/2'
'x+1/2,y+1/2,z'
'-x+1/2,-y+1/2,z+1/2'
'-x+1/2,y+1/2,z'
'x+1/2,-y+1/2,z+1/2'
loop_
_atom_site_label
_atom_site_fract_x
_atom_site_fract_y
_atom_site_fract_z
Sn1 0.000 0.129 0.000
Sn2 0.000 0.140 0.470
Sb1 0.000 0.210 0.704
S1 0.000 0.271 0.915
S2 0.000 0.273 0.575
I1 0.000 0.155 0.244
I2 0.000 0.426 0.144
I3 0.000 0.443 0.383
```

Peak list (10 most intense, 2θ = 10–90°, in order of rising 2θ)
2θ (°), Rel. int., (hkl)
20.3, 32.4, 0 0 4
23.6, 28.6, 0 2 4
27.3, 67.6, 1 3 0
27.8, 65.6, 1 3 1
28.2, 37.8, 0 2 5
29.7, 100.0, 1 1 4
34.3, 36.2, 1 3 4
38.0, 23.4, 1 5 2
41.8, 46.6, 2 0 0
45.1, 26.2, 1 5 5